No. 1
For K4P21I, a crystal structure in Alexandria, relaxed with PBE gives the simulated XRD peak list in this record (copper Kα).

Principal peaks in the range 2θ = 15–90°, by angle:
15.99°, intensity 76; 17.96°, intensity 28; 22.22°, intensity 36; 22.77°, intensity 77; 24.25°, intensity 33; 27.74°, intensity 40; 27.99°, intensity 28; 28.19°, intensity 100; 29.24°, intensity 66; 34.48°, intensity 36

Structure:
```
data_K4P21I
_space_group_name_H-M_alt 'C m c m'
_space_group_IT_number 63
_space_group_name_Hall '-C 2c 2'
_cell_length_a 21.9564
_cell_length_b 13.3972
_cell_length_c 9.8759
_cell_angle_alpha 90.00
_cell_angle_beta 90.00
_cell_angle_gamma 90.00
loop_
_atom_site_label
_atom_site_type_symbol
_atom_site_fract_x
_atom_site_fract_y
_atom_site_fract_z
K1 K 0.0893 0.1522 0.2500
K2 K 0.1198 0.5000 0.0000
P1 P 0.0000 0.0419 0.7500
P2 P 0.0000 0.1477 0.5864
P3 P 0.0742 0.2567 0.6352
P4 P 0.1511 0.1612 0.5758
P5 P 0.1753 0.0592 0.7500
P6 P 0.2187 0.2725 0.2500
P7 P 0.2211 0.2817 0.5834
P8 P 0.2267 0.4331 0.2500
I1 I 0.0000 0.3940 0.2500
```



No. 2
For K2PaI8, a crystal structure in Alexandria, relaxed with PBE gives the simulated XRD peak list in this record (copper Kα).

Principal peaks in the range 2θ = 15–90°, by angle:
21.02°, intensity 94; 26.65°, intensity 65; 28.63°, intensity 40; 28.95°, intensity 100; 31.94°, intensity 38; 35.72°, intensity 70; 36.06°, intensity 54; 37.55°, intensity 54; 40.52°, intensity 44; 41.81°, intensity 41

Structure:
```
data_K2PaI8
_space_group_name_H-M_alt 'C 1 2/m 1'
_space_group_IT_number 12
_cell_length_a 14.6876
_cell_length_b 12.9611
_cell_length_c 6.8059
_cell_angle_alpha 90.00
_cell_angle_beta 104.42
_cell_angle_gamma 90.00
loop_
_space_group_symop_operation_xyz
'x,y,z'
'-x,-y,-z'
'-x,y,-z'
'x,-y,z'
'x+1/2,y+1/2,z'
'-x+1/2,-y+1/2,-z'
'-x+1/2,y+1/2,-z'
'x+1/2,-y+1/2,z'
loop_
_atom_site_label
_atom_site_type_symbol
_atom_site_fract_x
_atom_site_fract_y
_atom_site_fract_z
K1 K 0.2092 0.0000 0.1056
Pa1 Pa 0.0000 0.5000 0.0000
I1 I 0.0014 0.0000 0.2564
I2 I 0.0831 0.3370 0.7975
I3 I 0.1762 0.5000 0.3292
```



No. 3
For KPa2I8, a crystal structure in Alexandria, relaxed with PBE gives the simulated XRD peak list in this record (copper Kα).

Principal peaks in the range 2θ = 15–90°, by angle:
16.41°, intensity 54; 17.12°, intensity 69; 18.97°, intensity 74; 23.80°, intensity 44; 28.69°, intensity 52; 29.04°, intensity 25; 33.17°, intensity 100; 34.63°, intensity 46; 44.42°, intensity 77; 69.80°, intensity 20

Structure:
```
data_KPa2I8
_space_group_name_H-M_alt 'P -3'
_space_group_IT_number 147
_cell_length_a 10.8061
_cell_length_b 10.8061
_cell_length_c 6.2184
_cell_angle_alpha 90.00
_cell_angle_beta 90.00
_cell_angle_gamma 120.00
loop_
_space_group_symop_operation_xyz
'x,y,z'
'-x,-y,-z'
'-y,x-y,z'
'y,-x+y,-z'
'-x+y,-x,z'
'x-y,x,-z'
loop_
_atom_site_label
_atom_site_type_symbol
_atom_site_fract_x
_atom_site_fract_y
_atom_site_fract_z
K1 K 0.0000 0.0000 0.0000
Pa1 Pa 0.3333 0.6667 0.2493
I1 I 0.1740 0.3499 0.2570
I2 I 0.3333 0.6667 0.7510
```



No. 4
For KPaPdI6, a crystal structure in Alexandria, relaxed with PBE gives the simulated XRD peak list in this record (copper Kα).

Principal peaks in the range 2θ = 15–90°, by angle:
17.36°, intensity 30; 26.18°, intensity 100; 32.19°, intensity 82; 40.45°, intensity 38; 41.97°, intensity 40; 43.40°, intensity 20; 50.12°, intensity 29; 53.86°, intensity 19; 70.54°, intensity 15; 71.51°, intensity 14

Structure:
```
data_KPaPdI6
_space_group_name_H-M_alt 'P -3 1 c'
_space_group_IT_number 163
_space_group_name_Hall '-P 3 2c'
_cell_length_a 7.4564
_cell_length_b 7.4564
_cell_length_c 16.6970
_cell_angle_alpha 90.00
_cell_angle_beta 90.00
_cell_angle_gamma 120.00
loop_
_atom_site_label
_atom_site_type_symbol
_atom_site_fract_x
_atom_site_fract_y
_atom_site_fract_z
K1 K 0.0000 0.0000 0.0000
Pa1 Pa 0.3333 0.6667 0.2500
Pd1 Pd 0.3333 0.6667 0.7500
I1 I 0.0020 0.3502 0.6457
```



No. 5
For K4PbI6, a crystal structure in Alexandria, relaxed with PBE gives the simulated XRD peak list in this record (copper Kα).

Principal peaks in the range 2θ = 15–90°, by angle:
17.76°, intensity 33; 19.81°, intensity 29; 25.33°, intensity 20; 26.67°, intensity 58; 28.18°, intensity 46; 28.33°, intensity 100; 29.64°, intensity 77; 33.42°, intensity 39; 41.26°, intensity 23; 56.66°, intensity 22

Structure:
```
data_K4PbI6
_space_group_name_H-M_alt 'R -3 c'
_space_group_IT_number 167
_space_group_name_Hall '-R 3 2"c'
_cell_length_a 14.1878
_cell_length_b 14.1878
_cell_length_c 17.1493
_cell_angle_alpha 90.00
_cell_angle_beta 90.00
_cell_angle_gamma 120.00
loop_
_atom_site_label
_atom_site_type_symbol
_atom_site_fract_x
_atom_site_fract_y
_atom_site_fract_z
K1 K 0.0000 0.0000 0.2500
K2 K 0.0000 0.3884 0.2500
Pb1 Pb 0.0000 0.0000 0.0000
I1 I 0.0372 0.2015 0.3905
```